Record 1
Calculated X-ray powder pattern of MnTe2S6 for CuKα, from DFT lattice parameters and positions (PBE).

Most intense lines, 10° ≤ 2θ ≤ 80°, in order of falling intensity:
d 6.625, 2θ = 13.4°, rel. 100; d 2.640, 2θ = 34.0°, rel. 39; d 3.128, 2θ = 28.5°, rel. 25; d 2.824, 2θ = 31.7°, rel. 20; d 1.992, 2θ = 45.5°, rel. 14; d 2.085, 2θ = 43.4°, rel. 13; d 1.871, 2θ = 48.7°, rel. 10; d 2.223, 2θ = 40.6°, rel. 10

Crystal structure
```
9
Lattice="6.6540 -1.8230 0.0000 6.6540 1.8230 0.0000 -5.7302 0.0000 9.7915" Properties=species:S:1:pos:R:3 pbc="T T T"
Mn 0.0000 0.0000 0.0000
Te 0.6864 0.0000 6.6621
Te 6.8913 0.0000 3.1294
S -4.4191 0.0000 7.8921
S 1.9113 0.0000 3.9308
S -0.4070 0.0000 8.9409
S 7.9847 0.0000 0.8506
S 5.6665 0.0000 5.8607
S 11.9968 0.0000 1.8993
```

---

Record 2
Calculated X-ray powder pattern of Ag2TeO6 for CuKα, from DFT lattice parameters and positions (PBE).

Most intense lines, 10° ≤ 2θ ≤ 80°, in order of falling intensity:
d 3.722, 2θ = 23.9°, rel. 100; d 4.734, 2θ = 18.7°, rel. 74; d 2.974, 2θ = 30.0°, rel. 68; d 3.593, 2θ = 24.8°, rel. 45; d 2.481, 2θ = 36.2°, rel. 37; d 2.809, 2θ = 31.9°, rel. 28; d 2.708, 2θ = 33.1°, rel. 28; d 2.530, 2θ = 35.5°, rel. 26

Crystal structure
```
18
Lattice="2.7119 -8.2409 0.0000 2.7119 8.2409 0.0000 -2.2338 0.0000 5.7837" Properties=species:S:1:pos:R:3 pbc="T T T"
Ag 1.5950 7.4959 2.8919
Ag 1.5152 3.5083 1.1324
Ag 0.3983 -3.5083 4.0242
Ag 2.7119 -7.4959 0.0000
Te 0.6768 2.0085 4.5094
Te 1.7937 -2.0085 1.6175
O -0.6317 1.2534 3.3322
O -0.2059 3.7171 4.9383
O 0.4852 -1.2534 0.4404
O 1.8643 1.5627 0.4816
O 1.6215 3.0102 3.1403
O 0.7474 -1.5627 3.3734
O 0.9110 -3.7171 2.0465
O 1.5061 0.2608 4.7939
O 2.6230 -0.2608 1.9021
O 2.2822 2.5411 5.5682
O 2.7384 -3.0102 0.2484
O 3.3991 -2.5411 2.6763
```

---

Record 3
Calculated X-ray powder pattern of Mg6Si5 for CuKα, from DFT lattice parameters and positions (PBE).

Most intense lines, 10° ≤ 2θ ≤ 80°, in order of falling intensity:
d 2.504, 2θ = 35.9°, rel. 100; d 2.515, 2θ = 35.7°, rel. 67; d 2.552, 2θ = 35.2°, rel. 62; d 2.368, 2θ = 38.0°, rel. 58; d 2.569, 2θ = 34.9°, rel. 52; d 2.663, 2θ = 33.7°, rel. 50; d 2.676, 2θ = 33.5°, rel. 38; d 7.103, 2θ = 12.5°, rel. 36

Crystal structure
```
22
Lattice="5.2381 0.0000 0.0000 0.6201 5.8531 0.0000 2.3637 0.3300 14.2057" Properties=species:S:1:pos:R:3 pbc="T T T"
Mg 0.0000 0.0000 0.0000
Mg 1.4678 1.7010 7.7730
Mg 3.0978 2.4091 11.9384
Mg 3.9348 5.2391 11.2821
Mg 2.5667 0.4173 4.8955
Mg 2.5480 2.6397 2.6685
Mg 3.3306 5.5122 1.8889
Mg 4.3453 5.2880 7.8894
Mg 5.2901 3.7228 4.4108
Mg 6.3318 3.9337 9.8004
Mg 5.0770 3.0304 0.8602
Mg 5.2593 0.8055 3.0080
Si 1.7427 4.7687 7.0980
Si 2.7196 3.4096 5.3600
Si 3.6655 3.0607 9.2893
Si 4.7996 4.0816 14.1606
Si 4.7872 1.6990 14.0317
Si 4.0335 2.2006 6.9388
Si 4.9722 1.1193 9.8599
Si 5.9813 0.9743 12.0259
Si 6.5059 4.4548 12.4747
Si 5.1751 0.4799 5.6668
```

---

Record 4
Calculated X-ray powder pattern of Zn2In2O5 for CuKα, from DFT lattice parameters and positions (PBE).

Most intense lines, 10° ≤ 2θ ≤ 80°, in order of falling intensity:
d 2.763, 2θ = 32.4°, rel. 100; d 2.575, 2θ = 34.8°, rel. 63; d 2.894, 2θ = 30.9°, rel. 60; d 1.739, 2θ = 52.6°, rel. 57; d 2.968, 2θ = 30.1°, rel. 47; d 1.491, 2θ = 62.3°, rel. 46; d 3.001, 2θ = 29.8°, rel. 25; d 1.563, 2θ = 59.1°, rel. 24

Crystal structure
```
9
Lattice="1.7390 1.0040 11.5765 -1.7390 1.0040 11.5765 0.0000 -2.0080 11.5765" Properties=species:S:1:pos:R:3 pbc="T T T"
Zn 0.0000 0.0000 0.0000
Zn 0.0000 0.0000 5.5392
In 0.0000 0.0000 20.1417
In 0.0000 0.0000 25.9155
O 0.0000 0.0000 2.7189
O 0.0000 0.0000 7.5186
O 0.0000 0.0000 23.6923
O 0.0000 0.0000 28.1174
O 0.0000 0.0000 32.7425
```

---

Record 5
Calculated X-ray powder pattern of LaTb3Bi2 for CuKα, from DFT lattice parameters and positions (PBE).

Most intense lines, 10° ≤ 2θ ≤ 80°, in order of falling intensity:
d 2.894, 2θ = 30.9°, rel. 100; d 2.614, 2θ = 34.3°, rel. 85; d 2.989, 2θ = 29.9°, rel. 72; d 2.227, 2θ = 40.5°, rel. 58; d 2.724, 2θ = 32.9°, rel. 50; d 2.656, 2θ = 33.8°, rel. 42; d 2.468, 2θ = 36.4°, rel. 42; d 3.049, 2θ = 29.3°, rel. 40

Crystal structure
```
12
Lattice="9.5235 -2.2271 0.0000 9.5235 2.2271 0.0000 -4.0629 0.0000 9.1287" Properties=species:S:1:pos:R:3 pbc="T T T"
La 1.6302 0.0000 1.1329
La 13.3539 0.0000 7.9958
Tb -1.6124 0.0000 6.1353
Tb 5.4778 0.0000 1.0117
Tb 4.7515 0.0000 4.7751
Tb 10.2325 0.0000 4.3536
Tb 9.5062 0.0000 8.1170
Tb 16.5965 0.0000 2.9934
Bi 1.8008 0.0000 6.4789
Bi 8.6447 0.0000 1.4383
Bi 6.3393 0.0000 7.6904
Bi 13.1833 0.0000 2.6499
```

---

Record 6
Calculated X-ray powder pattern of Rb3TcF6 for CuKα, from DFT lattice parameters and positions (PBE).

Most intense lines, 10° ≤ 2θ ≤ 80°, in order of falling intensity:
d 3.306, 2θ = 27.0°, rel. 100; d 3.326, 2θ = 26.8°, rel. 51; d 2.352, 2θ = 38.3°, rel. 40; d 1.916, 2θ = 47.4°, rel. 40; d 1.653, 2θ = 55.6°, rel. 24; d 1.487, 2θ = 62.5°, rel. 21; d 1.905, 2θ = 47.7°, rel. 19; d 2.324, 2θ = 38.7°, rel. 19

Crystal structure
```
10
Lattice="-3.3259 3.3259 4.6489 3.3259 -3.3259 4.6489 3.3259 3.3259 -4.6489" Properties=species:S:1:pos:R:3 pbc="T T T"
Rb 0.0000 0.0000 0.0000
Rb 3.3259 0.0000 2.3245
Rb 0.0000 3.3259 2.3245
Tc 0.0000 0.0000 4.6489
F 1.8659 1.8659 0.0000
F 1.4600 -1.4600 4.6489
F 0.0000 0.0000 2.6362
F 0.0000 0.0000 6.6617
F -1.4600 1.4600 4.6489
F 1.4600 1.4600 4.6489
```

---

Record 7
Calculated X-ray powder pattern of K2CaH4 for CuKα, from DFT lattice parameters and positions (PBE).

Most intense lines, 10° ≤ 2θ ≤ 80°, in order of falling intensity:
d 3.212, 2θ = 27.8°, rel. 100; d 3.098, 2θ = 28.8°, rel. 76; d 3.080, 2θ = 29.0°, rel. 55; d 3.274, 2θ = 27.2°, rel. 40; d 2.243, 2θ = 40.2°, rel. 36; d 1.825, 2θ = 50.0°, rel. 29; d 1.606, 2θ = 57.4°, rel. 28; d 1.854, 2θ = 49.1°, rel. 20

Crystal structure
```
14
Lattice="6.5485 0.0000 0.0000 0.0000 11.0597 0.0000 0.0000 0.0000 3.7088" Properties=species:S:1:pos:R:3 pbc="T T T"
K 0.3781 1.9985 0.0000
K 2.8961 7.5284 0.0000
K 3.6524 3.5314 0.0000
K 6.1704 9.0612 0.0000
Ca 0.0000 5.5299 1.8544
Ca 3.2743 0.0000 1.8544
H 0.9328 7.5843 1.8544
H 1.3611 5.0292 0.0000
H 1.9132 10.5590 0.0000
H 2.3414 2.0545 1.8544
H 4.2071 9.0053 1.8544
H 4.6353 0.5007 0.0000
H 5.1874 6.0306 0.0000
H 5.6157 3.4754 1.8544
```

---

Record 8
Calculated X-ray powder pattern of Y3Er6Zr for CuKα, from DFT lattice parameters and positions (PBE).

Most intense lines, 10° ≤ 2θ ≤ 80°, in order of falling intensity:
d 2.453, 2θ = 36.6°, rel. 100; d 2.894, 2θ = 30.9°, rel. 80; d 3.103, 2θ = 28.8°, rel. 54; d 1.424, 2θ = 65.5°, rel. 35; d 2.672, 2θ = 33.5°, rel. 32; d 1.806, 2θ = 50.5°, rel. 20; d 2.004, 2θ = 45.2°, rel. 19; d 4.008, 2θ = 22.2°, rel. 18

Crystal structure
```
20
Lattice="4.9018 0.0000 0.0000 0.0000 11.3362 0.0000 -0.0122 0.0000 11.3374" Properties=species:S:1:pos:R:3 pbc="T T T"
Y 0.0000 0.0000 0.0000
Y -0.0061 5.6681 5.6687
Y -0.0053 1.7306 7.3978
Y 0.0008 3.9375 1.7291
Y 4.8888 7.3987 9.6083
Y 4.8949 9.6056 3.9396
Er 4.8951 1.6248 4.0453
Er 4.8890 4.0434 9.7140
Er 0.0006 7.2929 1.6234
Er -0.0055 9.7115 7.2920
Er 2.4449 0.0694 2.4434
Er 2.4389 5.5987 8.1120
Er 2.4388 2.4413 11.2676
Er 2.4449 3.2268 5.5989
Er 2.4447 8.1094 5.7384
Er 2.4508 8.8949 0.0697
Er 2.4508 5.7375 3.2253
Er 2.4447 11.2668 8.8940
Zr 2.4448 0.0000 5.6687
Zr 2.4509 5.6681 0.0000
```